Record 1
Starting from a crystal structure in the Materials Project, relaxed with PBE+U, the powder diffractogram of RbCoF3 was computed for Cu Ka.

Top 8 peaks for 2θ = 15–90°, by angle:
- d = 3.006 Å, intensity 1000
- d = 2.454 Å, intensity 110
- d = 2.300 Å, intensity 177
- d = 2.126 Å, intensity 325
- d = 1.950 Å, intensity 130
- d = 1.736 Å, intensity 293
- d = 1.503 Å, intensity 198
- d = 1.136 Å, intensity 138

Cell and atoms:
```
30
Lattice="6.013 0.000 0.000 -3.007 5.207 0.000 0.000 0.000 14.723" Properties=species:S:1:pos:R:3 pbc="T T T"
Rb 0.000 0.000 3.681
Rb 0.000 0.000 11.042
Rb 0.000 3.472 1.402
Rb 0.000 3.472 5.959
Rb 3.007 1.736 8.764
Rb 3.007 1.736 13.320
Co 0.000 0.000 0.000
Co 0.000 0.000 7.361
Co 0.000 3.472 9.624
Co 0.000 3.472 12.460
Co 3.007 1.736 2.263
Co 3.007 1.736 5.098
F -1.340 2.698 11.042
F 0.000 1.724 8.539
F 0.000 1.724 13.545
F -1.514 4.346 8.539
F -1.514 4.346 13.545
F 1.493 0.862 1.178
F 1.493 0.862 6.184
F 1.340 2.698 11.042
F 0.000 5.019 11.042
F 3.007 0.189 3.681
F 1.667 2.509 3.681
F 1.514 4.346 8.539
F 1.514 4.346 13.545
F 4.520 0.862 1.178
F 4.520 0.862 6.184
F 3.007 3.484 1.178
F 3.007 3.484 6.184
F 4.346 2.509 3.681
```

---

Record 2
Starting from a crystal structure in the Materials Project, relaxed with PBE+U, the powder diffractogram of BaMg14CoO16 was computed for Cu Ka.

Top 8 peaks for 2θ = 15–90°, by angle:
- d = 2.547 Å, intensity 735
- d = 2.252 Å, intensity 1000
- d = 2.195 Å, intensity 882
- d = 2.173 Å, intensity 856
- d = 1.572 Å, intensity 542
- d = 1.564 Å, intensity 534
- d = 1.544 Å, intensity 489
- d = 1.274 Å, intensity 470

Cell and atoms:
```
32
Lattice="4.503 0.000 0.000 0.000 8.691 0.000 0.000 0.000 8.781" Properties=species:S:1:pos:R:3 pbc="T T T"
Ba 0.000 0.000 0.000
Mg 0.000 0.000 4.390
Mg 0.000 2.254 2.280
Mg 0.000 2.254 6.500
Mg 0.000 4.346 4.390
Mg 0.000 6.438 2.280
Mg 0.000 6.438 6.500
Mg 2.252 0.000 2.324
Mg 2.252 0.000 6.457
Mg 2.252 2.199 4.390
Mg 2.252 2.293 0.000
Mg 2.252 4.346 2.209
Mg 2.252 4.346 6.572
Mg 2.252 6.398 0.000
Mg 2.252 6.492 4.390
Co 0.000 4.346 0.000
O 0.000 0.000 2.463
O 0.000 0.000 6.317
O 0.000 2.225 4.390
O 0.000 2.440 0.000
O 0.000 4.346 2.309
O 0.000 4.346 6.472
O 0.000 6.252 0.000
O 0.000 6.467 4.390
O 2.252 0.000 0.000
O 2.252 0.000 4.390
O 2.252 2.176 2.191
O 2.252 2.176 6.590
O 2.252 4.346 0.000
O 2.252 4.346 4.390
O 2.252 6.515 2.191
O 2.252 6.515 6.590
```

---

Record 3
Starting from a crystal structure in the Materials Project, relaxed with PBE+U, the powder diffractogram of LiSi2NiO6 was computed for Cu Ka.

Top 8 peaks for 2θ = 15–90°, by angle:
- d = 5.547 Å, intensity 51
- d = 4.634 Å, intensity 164
- d = 3.560 Å, intensity 1000
- d = 2.381 Å, intensity 73
- d = 1.928 Å, intensity 107
- d = 1.924 Å, intensity 95
- d = 1.674 Å, intensity 74
- d = 1.445 Å, intensity 78

Cell and atoms:
```
10
Lattice="2.672 -4.653 0.000 2.672 4.653 0.000 0.000 0.000 5.547" Properties=species:S:1:pos:R:3 pbc="T T T"
Li 0.000 0.000 0.000
Si 1.336 2.326 1.852
Si 1.336 -2.326 3.695
Ni 2.672 0.000 0.000
O 1.411 0.981 0.927
O 2.672 2.447 2.773
O 1.411 -0.981 4.620
O 3.932 0.981 4.620
O 2.672 -2.447 2.773
O 3.932 -0.981 0.927
```

---

Record 4
Starting from a crystal structure in the Materials Project, relaxed with PBE+U, the powder diffractogram of LiBi3PbWClO8 was computed for Cu Ka.

Top 8 peaks for 2θ = 15–90°, by angle:
- d = 3.182 Å, intensity 1000
- d = 3.162 Å, intensity 980
- d = 2.903 Å, intensity 798
- d = 2.063 Å, intensity 225
- d = 2.042 Å, intensity 240
- d = 1.894 Å, intensity 398
- d = 1.728 Å, intensity 355
- d = 1.719 Å, intensity 351

Cell and atoms:
```
15
Lattice="4.084 0.000 0.000 0.000 4.127 0.000 0.000 0.000 14.989" Properties=species:S:1:pos:R:3 pbc="T T T"
Li 0.000 0.000 0.000
Bi 0.000 2.063 2.199
Bi 0.000 2.063 11.550
Bi 2.042 0.000 4.469
Pb 2.042 0.000 9.178
W 0.000 2.063 6.469
Cl 2.042 0.000 14.073
O 0.000 0.000 2.874
O 0.000 0.000 6.204
O 0.000 0.000 10.656
O 0.000 2.063 4.481
O 0.000 2.063 8.319
O 2.042 2.063 2.950
O 2.042 2.063 6.223
O 2.042 2.063 10.626
```

---

Record 5
Starting from a crystal structure in the Materials Project, relaxed with PBE+U, the powder diffractogram of HoV2ZnO6 was computed for Cu Ka.

Top 8 peaks for 2θ = 15–90°, by angle:
- d = 3.785 Å, intensity 286
- d = 2.721 Å, intensity 378
- d = 2.692 Å, intensity 1000
- d = 2.679 Å, intensity 967
- d = 2.634 Å, intensity 472
- d = 1.906 Å, intensity 283
- d = 1.892 Å, intensity 381
- d = 1.562 Å, intensity 278

Cell and atoms:
```
20
Lattice="5.268 0.000 0.000 0.000 5.441 0.000 -5.216 0.000 7.624" Properties=species:S:1:pos:R:3 pbc="T T T"
Ho 0.000 0.985 0.000
Ho -2.608 4.456 3.812
V -2.516 1.427 5.746
V 0.092 4.015 1.934
V 2.736 1.460 1.903
V 0.127 3.981 5.715
Zn 0.123 1.453 3.822
Zn 2.731 3.988 0.010
O -0.916 2.411 1.433
O -3.524 3.030 5.245
O -1.856 1.153 3.813
O 0.752 4.288 0.001
O 2.129 1.647 0.023
O -0.479 3.794 3.835
O 1.090 0.312 2.387
O -1.518 5.129 6.199
O -0.812 2.481 6.179
O 1.797 2.960 2.367
O 1.041 0.258 5.273
O 3.650 5.183 1.461
```